Structure and computed X-ray powder pattern of Sr3MnF12 (a crystal structure in the Materials Project, relaxed with PBE+U; Cu Kα (λ = 1.5418 Å)).
Kinematic intensities with the Lorentz-polarization factor, no thermal factor.

Most intense lines, 2θ from 10° to 80°, by intensity:
two_theta	I (rel.)
22.3	100
27.3	89
41.3	66
20.3	62
42.3	52
25.8	37
46.1	34
22.0	32
24.7	31
40.8	30

Cell and atoms:
```
16
Lattice="4.0614 -7.9838 0.0000 4.0614 7.9838 0.0000 -2.1415 0.0000 4.0343" Properties=species:S:1:pos:R:3 pbc="T T T"
Sr 0.0000 0.0000 0.0000
Sr 0.9599 3.9919 2.0171
Sr 0.9599 -3.9919 2.0171
Mn 2.9906 0.0000 2.0171
F -0.0609 1.4911 1.9789
F 2.9801 4.0623 0.6495
F -0.0609 -1.4911 1.9789
F 2.2455 1.2701 0.9165
F 3.0012 4.0623 3.3848
F 2.2455 -1.2701 0.9165
F 3.7358 1.2701 3.1178
F 2.9801 -4.0623 0.6495
F 3.7358 -1.2701 3.1178
F 6.0421 1.4911 2.0554
F 3.0012 -4.0623 3.3848
F 6.0421 -1.4911 2.0554
```